No. 1
Calculated XRD peak list of Li2Tb3Se3O2 for λ = 1.5418 Å (Cu Kα), from a DFT-relaxed cell (PBE, Alexandria).
Lines closer than 0.1° are merged.

Principal peaks in the range 2θ = 10–90°, by angle:
| d/Å | 2θ/deg | I/Imax |
| --- | --- | --- |
| 6.207 | 14.3 | 20.2 |
| 4.138 | 21.5 | 23.2 |
| 3.621 | 24.6 | 49.0 |
| 3.104 | 28.8 | 49.6 |
| 2.847 | 31.4 | 100.0 |
| 2.346 | 38.4 | 24.0 |
| 2.098 | 43.1 | 61.8 |
| 2.013 | 45.0 | 38.6 |
| 1.689 | 54.3 | 33.3 |
| 1.178 | 81.8 | 19.3 |

Structural model:
```
data_Li2Tb3Se3O2
_cell_length_a 12.737
_cell_length_b 12.737
_cell_length_c 12.737
_cell_angle_alpha 161.81
_cell_angle_beta 161.81
_cell_angle_gamma 25.83
_symmetry_space_group_name_H-M 'P 1'
_symmetry_Int_Tables_number 1
loop_
_symmetry_equiv_pos_as_xyz
'x,y,z'
loop_
_atom_site_label
_atom_site_type_symbol
_atom_site_fract_x
_atom_site_fract_y
_atom_site_fract_z
Li1 Li 0.250 0.750 0.500
Li2 Li 0.750 0.250 0.500
Tb1 Tb 0.000 0.000 0.000
Tb2 Tb 0.363 0.363 0.000
Tb3 Tb 0.637 0.637 0.000
Se1 Se 0.118 0.118 0.000
Se2 Se 0.500 0.500 0.000
Se3 Se 0.882 0.882 0.000
O1 O 0.281 0.281 0.000
O2 O 0.719 0.719 0.000
```



No. 2
Calculated XRD peak list of LiThSeO5 for λ = 1.5418 Å (Cu Kα), from a DFT-relaxed cell (PBE, Alexandria).
Lines closer than 0.1° are merged.

Principal peaks in the range 2θ = 10–90°, by angle:
| d/Å | 2θ/deg | I/Imax |
| --- | --- | --- |
| 5.594 | 15.8 | 80.3 |
| 4.259 | 20.9 | 34.3 |
| 3.799 | 23.4 | 100.0 |
| 3.711 | 24.0 | 61.8 |
| 3.689 | 24.1 | 18.1 |
| 2.794 | 32.0 | 31.3 |
| 2.662 | 33.7 | 27.1 |
| 2.650 | 33.8 | 63.5 |
| 1.865 | 48.8 | 18.1 |
| 1.846 | 49.4 | 22.6 |

Structural model:
```
data_LiThSeO5
_cell_length_a 6.043
_cell_length_b 6.043
_cell_length_c 8.486
_cell_angle_alpha 110.79
_cell_angle_beta 110.79
_cell_angle_gamma 89.63
_symmetry_space_group_name_H-M 'P 1'
_symmetry_Int_Tables_number 1
loop_
_symmetry_equiv_pos_as_xyz
'x,y,z'
loop_
_atom_site_label
_atom_site_type_symbol
_atom_site_fract_x
_atom_site_fract_y
_atom_site_fract_z
Li1 Li 0.188 0.812 0.750
Li2 Li 0.812 0.188 0.250
Th1 Th 0.500 0.500 0.000
Th2 Th 0.500 0.500 0.500
Se1 Se 0.138 0.862 0.250
Se2 Se 0.862 0.138 0.750
O1 O 0.173 0.175 0.838
O2 O 0.175 0.173 0.338
O3 O 0.228 0.771 0.050
O4 O 0.229 0.772 0.450
O5 O 0.419 0.581 0.750
O6 O 0.581 0.419 0.250
O7 O 0.771 0.228 0.550
O8 O 0.772 0.229 0.950
O9 O 0.825 0.827 0.662
O10 O 0.827 0.825 0.162
```



No. 3
Calculated XRD peak list of LiTiSeO5 for λ = 1.5418 Å (Cu Kα), from a DFT-relaxed cell (PBE, Alexandria).
Lines closer than 0.1° are merged.

Principal peaks in the range 2θ = 10–90°, by angle:
| d/Å | 2θ/deg | I/Imax |
| --- | --- | --- |
| 4.966 | 17.9 | 100.0 |
| 4.919 | 18.0 | 27.9 |
| 3.694 | 24.1 | 21.7 |
| 3.415 | 26.1 | 40.9 |
| 3.370 | 26.5 | 52.3 |
| 2.948 | 30.3 | 32.8 |
| 2.665 | 33.6 | 18.0 |
| 2.653 | 33.8 | 72.5 |
| 2.302 | 39.1 | 27.0 |
| 1.849 | 49.3 | 19.6 |

Structural model:
```
data_LiTiSeO5
_cell_length_a 5.562
_cell_length_b 5.562
_cell_length_c 7.337
_cell_angle_alpha 105.17
_cell_angle_beta 105.17
_cell_angle_gamma 106.58
_symmetry_space_group_name_H-M 'P 1'
_symmetry_Int_Tables_number 1
loop_
_symmetry_equiv_pos_as_xyz
'x,y,z'
loop_
_atom_site_label
_atom_site_type_symbol
_atom_site_fract_x
_atom_site_fract_y
_atom_site_fract_z
Li1 Li 0.021 0.979 0.750
Li2 Li 0.979 0.021 0.250
Ti1 Ti 0.000 0.500 0.000
Ti2 Ti 0.500 0.000 0.500
Se1 Se 0.460 0.540 0.750
Se2 Se 0.540 0.460 0.250
O1 O 0.171 0.251 0.097
O2 O 0.206 0.794 0.250
O3 O 0.251 0.171 0.597
O4 O 0.315 0.643 0.920
O5 O 0.357 0.685 0.580
O6 O 0.643 0.315 0.420
O7 O 0.685 0.357 0.080
O8 O 0.749 0.829 0.403
O9 O 0.794 0.206 0.750
O10 O 0.829 0.749 0.903
```